Starting from a cell relaxed with PBE, the powder diffractogram of Sn2BF7 was computed for Cu Kα.

abc: 9.015 5.458 14.318
angles: 90.00 90.00 90.00
Space group Pnma (No. 62)
Asymmetric unit:
Sn: 0.018 0.250 0.189 x4
Sn: 0.225 0.750 0.445 x4
B: 0.185 0.250 0.628 x4
F: 0.102 0.250 0.046 x4
F: 0.103 0.037 0.651 x8
F: 0.147 0.000 0.861 x8
F: 0.177 0.750 0.176 x4
F: 0.210 0.250 0.530 x4

Most intense lines, 10 to 90 degrees two-theta, in order of rising 2θ:
2θ = 20.0°, I = 57, (1 1 1); 2θ = 21.1°, I = 36, (1 0 3); 2θ = 22.7°, I = 62, (1 1 2); 2θ = 23.3°, I = 78, (2 0 2); 2θ = 24.8°, I = 51, (0 1 3); 2θ = 26.4°, I = 100, (2 1 1); 2θ = 26.8°, I = 45, (1 0 4); 2θ = 32.8°, I = 42, (0 2 0); 2θ = 40.6°, I = 36, (2 2 2); 2θ = 42.6°, I = 53, (3 1 4)